Simulated powder X-ray diffraction pattern of CeZr3O8 for Cu Kα, 1.54184 Å, from a cell relaxed with GGA-PBE.
No peak broadening, texture or thermal motion is included.

Atomic structure:
Lattice parameters (Å, degrees): 7.4235 7.4235 5.3192 90.64 90.64 90.36
Positions (direct):
Ce  0.1303  0.8697  0.7500
Ce  0.8697  0.1303  0.2500
Zr  0.1219  0.3757  0.7519
Zr  0.3757  0.1219  0.2519
Zr  0.3815  0.6185  0.2500
Zr  0.6185  0.3815  0.7500
Zr  0.6243  0.8781  0.7481
Zr  0.8781  0.6243  0.2481
O  0.1176  0.6316  0.0479
O  0.1221  0.1434  0.5254
O  0.1434  0.1221  0.0254
O  0.1450  0.6048  0.5311
O  0.3656  0.4016  0.9398
O  0.3684  0.8824  0.4521
O  0.3952  0.8550  0.9689
O  0.4016  0.3656  0.4398
O  0.5984  0.6344  0.5602
O  0.6048  0.1450  0.0311
O  0.6316  0.1176  0.5479
O  0.6344  0.5984  0.0602
O  0.8550  0.3952  0.4689
O  0.8566  0.8779  0.9746
O  0.8779  0.8566  0.4746
O  0.8824  0.3684  0.9521

Main lines, by angle (15 to 90 degrees two-theta):
29.2 deg, I 100
29.5 deg, I 97
48.7 deg, I 35
49.1 deg, I 36
57.9 deg, I 27
58.1 deg, I 27